Diffraction record for CaMn2O4. The X-ray diffraction stick pattern is theoretical, not measured: it uses the PBE+U geometry in the Materials Project and copper Kα.
Peak positions follow from Bragg's law for the DFT cell and can differ from measured ones.

Principal peaks in the range 2θ from 10° to 80°, sorted by position:
d/Å, intensity
5.163, 38.1
3.172, 17.4
2.722, 26.8
2.684, 100.0
2.582, 18.4
2.222, 21.6
1.741, 17.3
1.711, 23.3
1.586, 32.1
1.571, 16.2

Crystal structure
```
14
Lattice="-3.142 3.142 4.530 3.142 -3.142 4.530 3.142 3.142 -4.530" Properties=species:S:1:pos:R:3 pbc="T T T"
Ca 0.000 1.571 1.132
Ca 3.142 1.571 3.397
Mn 1.571 1.571 -2.265
Mn 1.571 -1.571 2.265
Mn 3.142 0.000 0.000
Mn 0.000 0.000 4.530
O 4.657 1.191 -0.328
O 3.522 -0.056 1.937
O 1.627 1.951 -0.328
O 0.380 -0.056 2.593
O 2.762 3.198 1.937
O 1.515 1.191 4.858
O -0.380 3.198 2.593
O -1.515 1.951 4.858
```

=====

Diffraction record for CaMnO3. The X-ray diffraction stick pattern is theoretical, not measured: it uses the PBE+U geometry in the Materials Project and copper Kα.
Peak positions follow from Bragg's law for the DFT cell and can differ from measured ones.

Principal peaks in the range 2θ from 10° to 80°, sorted by position:
d/Å, intensity
3.802, 18.8
2.688, 100.0
2.195, 6.2
1.901, 52.4
1.700, 5.8
1.552, 34.5
1.344, 27.4
1.267, 2.2
1.202, 14.1

Crystal structure
```
5
Lattice="3.802 0.000 0.000 0.000 3.802 0.000 0.000 0.000 3.802" Properties=species:S:1:pos:R:3 pbc="T T T"
Ca 0.000 0.000 0.000
Mn 1.901 1.901 1.901
O 0.000 1.901 1.901
O 1.901 0.000 1.901
O 1.901 1.901 0.000
```

=====

Diffraction record for CaMnO3. The X-ray diffraction stick pattern is theoretical, not measured: it uses the PBE+U geometry in the Materials Project and copper Kα.
Peak positions follow from Bragg's law for the DFT cell and can differ from measured ones.

Principal peaks in the range 2θ from 10° to 80°, sorted by position:
d/Å, intensity
3.792, 23.2
2.699, 25.3
2.680, 100.0
2.667, 24.1
1.897, 39.6
1.893, 22.0
1.555, 15.6
1.550, 11.0
1.543, 35.8
1.340, 17.9

Crystal structure
```
20
Lattice="5.399 0.000 0.000 0.000 7.571 0.000 0.000 0.000 5.333" Properties=species:S:1:pos:R:3 pbc="T T T"
Ca 0.236 1.893 0.044
Ca 2.463 5.679 2.711
Ca 2.936 1.893 2.623
Ca 5.163 5.679 5.289
Mn 0.000 0.000 2.667
Mn 0.000 3.786 2.667
Mn 2.699 0.000 0.000
Mn 2.699 3.786 0.000
O 0.100 5.679 2.252
O 1.123 4.089 4.235
O 1.123 7.268 4.235
O 1.577 0.304 1.568
O 1.577 3.482 1.568
O 2.600 1.893 4.919
O 2.799 5.679 0.415
O 3.822 4.089 3.765
O 3.822 7.268 3.765
O 4.276 0.304 1.099
O 4.276 3.482 1.099
O 5.299 1.893 3.081
```

=====

Diffraction record for CaMn7O12. The X-ray diffraction stick pattern is theoretical, not measured: it uses the PBE+U geometry in the Materials Project and copper Kα.
Peak positions follow from Bragg's law for the DFT cell and can differ from measured ones.

Principal peaks in the range 2θ from 10° to 80°, sorted by position:
d/Å, intensity
2.659, 100.0
2.646, 93.3
2.376, 9.1
2.369, 5.9
1.876, 53.9
1.535, 24.1
1.533, 48.8
1.525, 24.2
1.330, 11.5
1.323, 12.1

Crystal structure
```
20
Lattice="5.318 3.070 2.155 -5.318 3.070 2.155 0.000 -6.141 2.155" Properties=species:S:1:pos:R:3 pbc="T T T"
Ca 0.000 0.000 0.000
Mn -5.318 0.000 3.233
Mn -2.659 1.535 1.078
Mn -2.659 -1.535 2.155
Mn 2.659 1.535 1.078
Mn -2.659 1.535 4.310
Mn 0.000 3.070 2.155
Mn 0.000 0.000 3.233
O -0.929 -3.636 2.685
O -1.598 0.109 2.090
O -3.614 -1.013 3.780
O -2.684 2.623 2.685
O 0.705 -1.438 2.090
O 0.893 1.330 2.090
O -0.893 -1.330 4.376
O -0.705 1.438 4.376
O 2.684 -2.623 3.780
O 3.614 1.013 2.685
O 1.598 -0.109 4.376
O 0.929 3.636 3.780
```